Entry 1:
This entry pairs a crystal structure of Er2Fe3Co with its computed X-ray powder pattern. Radiation: Cu Kα. Structure: a DFT-relaxed cell (PBE, Alexandria).
Lines closer than 0.1° are merged.

Largest 12 diffraction maxima, low angle first, 15° ≤ 2θ ≤ 90°:
2theta, intensity
21.31, 18.3
35.14, 69.4
41.46, 100.0
43.37, 9.7
63.02, 19.2
63.16, 6.5
67.34, 23.1
67.44, 7.5
74.21, 11.0
74.36, 10.9
84.97, 5.8
88.78, 8.2

Structural model:
```
Er2Fe3Co
1.0
2.5559 1.4756 4.1626
-2.5559 1.4756 4.1626
0.0000 -2.9513 4.1626
Er Fe Co
2 3 1
direct
0.1253 0.1253 0.1253
0.8747 0.8747 0.8747
0.0000 0.5000 0.5000
0.5000 0.0000 0.5000
0.5000 0.5000 0.0000
0.5000 0.5000 0.5000
```

Entry 2:
This entry pairs a crystal structure of ErHfFeCo with its computed X-ray powder pattern. Radiation: Cu Kα. Structure: a DFT-relaxed cell (PBE, Alexandria).
Lines closer than 0.1° are merged.

Largest 7 diffraction maxima, low angle first, 15° ≤ 2θ ≤ 90°:
2theta, intensity
27.78, 28.6
39.70, 100.0
49.14, 8.5
57.39, 16.8
64.94, 11.6
72.04, 33.6
85.54, 10.8

Structural model:
```
ErHfFeCo
1.0
6.4222 0.0000 0.0000
0.0000 6.4222 0.0000
0.0000 0.0000 6.4222
Er Hf Fe Co
4 4 4 4
direct
0.0000 0.0000 0.0000
0.0000 0.5000 0.5000
0.5000 0.0000 0.5000
0.5000 0.5000 0.0000
0.0000 0.0000 0.5000
0.0000 0.5000 0.0000
0.5000 0.0000 0.0000
0.5000 0.5000 0.5000
0.2500 0.2500 0.7500
0.2500 0.7500 0.2500
0.7500 0.2500 0.2500
0.7500 0.7500 0.7500
0.2500 0.2500 0.2500
0.2500 0.7500 0.7500
0.7500 0.2500 0.7500
0.7500 0.7500 0.2500
```

Entry 3:
This entry pairs a crystal structure of SmErTi2Fe16Co6 with its computed X-ray powder pattern. Radiation: Cu Kα. Structure: a DFT-relaxed cell (PBE, Alexandria).
Lines closer than 0.1° are merged.

Largest 12 diffraction maxima, low angle first, 15° ≤ 2θ ≤ 90°:
2theta, intensity
30.33, 39.6
33.55, 14.2
37.20, 45.8
38.20, 16.9
42.83, 60.5
43.12, 100.0
44.01, 71.1
49.26, 23.6
63.09, 12.5
72.45, 19.8
78.66, 18.5
79.28, 17.7

Structural model:
```
SmErTi2Fe16Co6
1.0
5.9693 -2.3560 0.0000
5.9693 2.3560 0.0000
-0.0039 0.0000 11.9511
Sm Er Ti Fe Co
1 1 2 16 6
direct
0.0000 0.0000 0.0000
0.5004 0.5004 0.5002
0.3090 0.3090 0.3111
0.8096 0.8096 0.8076
0.1055 0.1055 0.3905
0.1148 0.1148 0.6139
0.2498 0.7481 0.2499
0.2496 0.7496 0.7465
0.3836 0.3836 0.8824
0.3867 0.3867 0.1093
0.4978 0.9986 0.4995
0.4987 0.9977 0.9991
0.6086 0.6086 0.8858
0.6161 0.6161 0.1171
0.7481 0.2498 0.2499
0.7496 0.2496 0.7465
0.8846 0.8846 0.3856
0.8900 0.8900 0.6049
0.9977 0.4987 0.9991
0.9986 0.4978 0.4995
0.1730 0.1730 0.1744
0.1792 0.1792 0.8182
0.3212 0.3212 0.6762
0.6729 0.6729 0.6715
0.6774 0.6774 0.3221
0.8193 0.8193 0.1801
```

Entry 4:
This entry pairs a crystal structure of Er12GaCo5 with its computed X-ray powder pattern. Radiation: Cu Kα. Structure: a DFT-relaxed cell (PBE, Alexandria).
Lines closer than 0.1° are merged.

Largest 12 diffraction maxima, low angle first, 15° ≤ 2θ ≤ 90°:
2theta, intensity
26.64, 19.1
29.28, 24.5
30.46, 28.1
30.57, 36.6
33.06, 100.0
35.24, 51.6
35.89, 53.7
36.24, 50.9
38.95, 28.0
56.05, 21.7
61.17, 18.3
61.51, 29.7

Structural model:
```
Er12GaCo5
1.0
-4.6179 4.6268 4.8469
4.6179 -4.6268 4.8469
4.6179 4.6268 -4.8469
Er Ga Co
12 1 5
direct
0.0136 0.8165 0.1971
0.2170 0.5253 0.3084
0.2170 0.9086 0.6916
0.2880 0.3146 0.6026
0.2880 0.6854 0.9734
0.3806 0.1835 0.1971
0.6194 0.8165 0.8029
0.7120 0.3146 0.0266
0.7120 0.6854 0.3974
0.7830 0.0914 0.3084
0.7830 0.4747 0.6916
0.9864 0.1835 0.8029
0.5000 0.0000 0.5000
0.0000 0.1260 0.1260
0.0000 0.5000 0.5000
0.0000 0.8740 0.8740
0.3860 0.3860 0.0000
0.6140 0.6140 0.0000
```

Entry 5:
This entry pairs a crystal structure of Er2Ga4Co3 with its computed X-ray powder pattern. Radiation: Cu Kα. Structure: a DFT-relaxed cell (PBE, Alexandria).
Lines closer than 0.1° are merged.

Largest 12 diffraction maxima, low angle first, 15° ≤ 2θ ≤ 90°:
2theta, intensity
28.63, 24.3
34.38, 38.0
34.97, 17.9
35.17, 51.2
39.93, 32.7
40.86, 100.0
41.35, 30.5
42.58, 23.4
45.32, 40.4
65.98, 23.4
72.50, 25.6
73.87, 19.4

Structural model:
```
Er2Ga4Co3
1.0
0.0000 4.5141 6.2363
2.6087 0.0000 6.2363
2.6087 4.5141 0.0000
Er Ga Co
2 4 3
direct
0.1243 0.1243 0.8757
0.8757 0.8757 0.1243
0.1747 0.5144 0.4856
0.4856 0.8253 0.1747
0.5144 0.1747 0.8253
0.8253 0.4856 0.5144
0.0000 0.0000 0.5000
0.5000 0.5000 0.0000
0.5000 0.5000 0.5000
```

Entry 6:
This entry pairs a crystal structure of Er10Ga5Co with its computed X-ray powder pattern. Radiation: Cu Kα. Structure: a DFT-relaxed cell (PBE, Alexandria).
Lines closer than 0.1° are merged.

Largest 12 diffraction maxima, low angle first, 15° ≤ 2θ ≤ 90°:
2theta, intensity
27.09, 17.5
27.38, 22.2
27.71, 20.1
30.54, 20.2
32.81, 100.0
33.09, 93.2
35.01, 82.3
38.07, 33.8
38.18, 25.5
38.45, 48.8
51.71, 17.2
54.27, 21.9

Structural model:
```
Er10Ga5Co
1.0
0.0000 7.0722 5.3016
5.2190 0.0000 5.3016
5.2190 7.0722 0.0000
Er Ga Co
10 5 1
direct
0.0110 0.6299 0.6985
0.1443 0.8557 0.1443
0.3015 0.3394 0.9890
0.3136 0.8410 0.6864
0.3394 0.3015 0.3701
0.5040 0.7948 0.2052
0.6299 0.0110 0.6606
0.7948 0.5040 0.4960
0.8410 0.3136 0.1590
0.8557 0.1443 0.8557
0.0695 0.0695 0.4305
0.4408 0.4408 0.5592
0.5695 0.5695 0.9305
0.6959 0.9435 0.3041
0.9435 0.6959 0.0565
0.1965 0.1965 0.8035
```

Copy entry 3 word for word.
This entry pairs a crystal structure of SmErTi2Fe16Co6 with its computed X-ray powder pattern. Radiation: Cu Kα. Structure: a DFT-relaxed cell (PBE, Alexandria).
Lines closer than 0.1° are merged.

Largest 12 diffraction maxima, low angle first, 15° ≤ 2θ ≤ 90°:
2theta, intensity
30.33, 39.6
33.55, 14.2
37.20, 45.8
38.20, 16.9
42.83, 60.5
43.12, 100.0
44.01, 71.1
49.26, 23.6
63.09, 12.5
72.45, 19.8
78.66, 18.5
79.28, 17.7

Structural model:
```
SmErTi2Fe16Co6
1.0
5.9693 -2.3560 0.0000
5.9693 2.3560 0.0000
-0.0039 0.0000 11.9511
Sm Er Ti Fe Co
1 1 2 16 6
direct
0.0000 0.0000 0.0000
0.5004 0.5004 0.5002
0.3090 0.3090 0.3111
0.8096 0.8096 0.8076
0.1055 0.1055 0.3905
0.1148 0.1148 0.6139
0.2498 0.7481 0.2499
0.2496 0.7496 0.7465
0.3836 0.3836 0.8824
0.3867 0.3867 0.1093
0.4978 0.9986 0.4995
0.4987 0.9977 0.9991
0.6086 0.6086 0.8858
0.6161 0.6161 0.1171
0.7481 0.2498 0.2499
0.7496 0.2496 0.7465
0.8846 0.8846 0.3856
0.8900 0.8900 0.6049
0.9977 0.4987 0.9991
0.9986 0.4978 0.4995
0.1730 0.1730 0.1744
0.1792 0.1792 0.8182
0.3212 0.3212 0.6762
0.6729 0.6729 0.6715
0.6774 0.6774 0.3221
0.8193 0.8193 0.1801
```